# 1
Calculated powder X-ray diffraction pattern
Compound: Pr8Rh5Au
Radiation: a wavelength of 1.5418 Å
Structure: the PBE geometry in Alexandria
Neutral-atom scattering factors, no anomalous dispersion.

Largest 12 diffraction maxima, low angle first, 10 to 90 degrees two-theta:
2theta	d/Å	Rel. int.
28.06	3.180	16.2
31.27	2.861	100.0
31.63	2.829	50.8
37.20	2.417	29.2
37.31	2.410	31.3
37.49	2.399	17.1
47.36	1.920	10.8
51.50	1.775	17.4
51.73	1.767	13.0
51.92	1.761	14.0
63.38	1.467	16.3
77.54	1.231	13.7

Structure:
```
Pr8Rh5Au
1.0
-4.5264 4.5264 4.4672
4.5264 -4.5264 4.4672
4.5264 4.5264 -4.4672
Pr Rh Au
8 5 1
Direct
0.2527 0.5070 0.6187
0.3660 0.7473 0.2543
0.3742 0.2360 0.2514
0.4930 0.1117 0.7457
0.7640 0.0154 0.1381
0.8772 0.6258 0.8619
0.8883 0.6340 0.3813
0.9846 0.1228 0.7486
0.1282 0.0055 0.3837
0.2555 0.8718 0.8772
0.6218 0.7445 0.6163
0.7500 0.2500 0.5000
0.9945 0.3782 0.1228
0.5000 0.5000 0.0000
```

# 2
Calculated powder X-ray diffraction pattern
Compound: PrThRhAu
Radiation: a wavelength of 1.5418 Å
Structure: the PBE geometry in Alexandria
Neutral-atom scattering factors, no anomalous dispersion.

Largest 12 diffraction maxima, low angle first, 10 to 90 degrees two-theta:
2theta	d/Å	Rel. int.
29.06	3.072	41.2
31.27	2.860	36.6
31.87	2.808	100.0
36.33	2.473	23.7
38.16	2.358	82.9
43.42	2.084	26.2
45.40	1.998	23.1
53.10	1.725	15.6
54.48	1.684	15.9
57.32	1.607	14.8
64.64	1.442	21.0
72.41	1.305	22.1

Structure:
```
PrThRhAu
1.0
4.1679 0.0000 0.0000
0.0000 3.9957 0.0000
0.0000 0.0000 12.2893
Pr Th Rh Au
2 2 2 2
Direct
0.0000 0.0000 0.0000
0.0000 0.5000 0.5000
0.5000 0.0000 0.7219
0.5000 0.5000 0.2219
0.0000 0.0000 0.2456
0.0000 0.5000 0.7456
0.5000 0.0000 0.4236
0.5000 0.5000 0.9236
```

# 3
Calculated powder X-ray diffraction pattern
Compound: Pr5RuAu2
Radiation: a wavelength of 1.5418 Å
Structure: the PBE geometry in Alexandria
Neutral-atom scattering factors, no anomalous dispersion.

Largest 12 diffraction maxima, low angle first, 10 to 90 degrees two-theta:
2theta	d/Å	Rel. int.
30.04	2.975	100.0
30.57	2.924	43.6
31.06	2.880	19.0
31.91	2.805	61.7
32.60	2.746	61.8
33.55	2.671	17.2
35.93	2.499	25.0
42.72	2.117	34.9
43.54	2.079	21.8
48.61	1.873	25.7
52.80	1.734	18.7
53.45	1.714	20.3

Structure:
```
Pr5RuAu2
1.0
8.8820 0.0000 0.0000
0.0000 12.3867 0.0000
0.0000 0.0000 4.2334
Pr Ru Au
10 2 4
Direct
0.0000 0.0000 0.0000
0.1465 0.3004 0.0000
0.1801 0.5802 0.5000
0.3199 0.0802 0.5000
0.3535 0.8004 0.0000
0.5000 0.5000 0.0000
0.6465 0.1996 0.0000
0.6801 0.9198 0.5000
0.8199 0.4198 0.5000
0.8535 0.6996 0.0000
0.0000 0.5000 0.0000
0.5000 0.0000 0.0000
0.0690 0.8244 0.5000
0.4310 0.3244 0.5000
0.5690 0.6756 0.5000
0.9310 0.1756 0.5000
```

# 4
Calculated powder X-ray diffraction pattern
Compound: Pr8Ru3Au2
Radiation: a wavelength of 1.5418 Å
Structure: the PBE geometry in Alexandria
Neutral-atom scattering factors, no anomalous dispersion.

Largest 12 diffraction maxima, low angle first, 10 to 90 degrees two-theta:
2theta	d/Å	Rel. int.
21.27	4.177	13.4
21.42	4.149	13.0
35.05	2.560	100.0
35.33	2.541	25.4
35.70	2.515	24.8
49.70	1.834	8.2
51.10	1.788	17.7
62.45	1.487	8.3
63.23	1.471	17.9
63.71	1.461	17.7
74.06	1.280	10.2
85.67	1.134	8.7

Structure:
```
Pr8Ru3Au2
1.0
8.9196 0.0000 0.0000
0.0000 5.0306 0.0000
-3.1405 0.0000 8.3601
Pr Ru Au
8 3 2
Direct
0.1146 0.0000 0.3863
0.1381 0.5000 0.8689
0.3700 0.5000 0.6384
0.3822 0.0000 0.1172
0.6178 0.0000 0.8828
0.6300 0.5000 0.3616
0.8619 0.5000 0.1311
0.8854 0.0000 0.6137
0.2510 0.0000 0.7510
0.5000 0.5000 0.0000
0.7490 0.0000 0.2490
0.2441 0.5000 0.2559
0.7559 0.5000 0.7441
```

# 5
Calculated powder X-ray diffraction pattern
Compound: PrSnAuS
Radiation: a wavelength of 1.5418 Å
Structure: the PBE geometry in Alexandria
Neutral-atom scattering factors, no anomalous dispersion.

Largest 12 diffraction maxima, low angle first, 10 to 90 degrees two-theta:
2theta	d/Å	Rel. int.
24.41	3.647	100.0
30.30	2.950	21.5
30.87	2.896	32.0
34.11	2.629	67.1
38.82	2.320	95.6
46.39	1.957	18.4
50.40	1.811	49.4
52.62	1.739	19.6
62.04	1.496	15.5
63.25	1.470	18.2
67.28	1.392	18.9
70.28	1.339	16.5

Structure:
```
PrSnAuS
1.0
2.3198 1.3394 11.5858
-2.3198 1.3394 11.5858
0.0000 -2.6787 11.5858
Pr Sn Au S
2 2 2 2
Direct
0.1129 0.1129 0.1129
0.8871 0.8871 0.8871
0.2993 0.2993 0.2993
0.7007 0.7007 0.7007
0.3835 0.3835 0.3835
0.6165 0.6165 0.6165
0.1968 0.1968 0.1968
0.8032 0.8032 0.8032
```

# 6
Calculated powder X-ray diffraction pattern
Compound: PrSbAu3
Radiation: a wavelength of 1.5418 Å
Structure: the PBE geometry in Alexandria
Neutral-atom scattering factors, no anomalous dispersion.

Largest 12 diffraction maxima, low angle first, 10 to 90 degrees two-theta:
2theta	d/Å	Rel. int.
19.30	4.599	24.7
24.91	3.575	36.1
25.79	3.454	17.8
29.65	3.013	25.8
31.80	2.814	21.9
33.67	2.662	18.6
35.60	2.522	27.2
37.19	2.417	100.0
39.18	2.299	36.5
41.14	2.194	29.9
41.88	2.157	27.9
42.36	2.134	22.9

Structure:
```
PrSbAu3
1.0
5.6831 0.0000 0.0000
0.0000 6.1631 0.0000
0.0000 0.0000 6.9080
Pr Sb Au
2 2 6
Direct
0.0000 0.2026 0.0000
0.5000 0.7974 0.5000
0.0000 0.6600 0.2813
0.5000 0.3400 0.7813
0.0000 0.9561 0.6177
0.2465 0.7084 0.9148
0.2535 0.2916 0.4148
0.5000 0.0439 0.1177
0.7465 0.2916 0.4148
0.7535 0.7084 0.9148
```

Copy entry 1 word for word.
Calculated powder X-ray diffraction pattern
Compound: Pr8Rh5Au
Radiation: a wavelength of 1.5418 Å
Structure: the PBE geometry in Alexandria
Neutral-atom scattering factors, no anomalous dispersion.

Largest 12 diffraction maxima, low angle first, 10 to 90 degrees two-theta:
2theta	d/Å	Rel. int.
28.06	3.180	16.2
31.27	2.861	100.0
31.63	2.829	50.8
37.20	2.417	29.2
37.31	2.410	31.3
37.49	2.399	17.1
47.36	1.920	10.8
51.50	1.775	17.4
51.73	1.767	13.0
51.92	1.761	14.0
63.38	1.467	16.3
77.54	1.231	13.7

Structure:
```
Pr8Rh5Au
1.0
-4.5264 4.5264 4.4672
4.5264 -4.5264 4.4672
4.5264 4.5264 -4.4672
Pr Rh Au
8 5 1
Direct
0.2527 0.5070 0.6187
0.3660 0.7473 0.2543
0.3742 0.2360 0.2514
0.4930 0.1117 0.7457
0.7640 0.0154 0.1381
0.8772 0.6258 0.8619
0.8883 0.6340 0.3813
0.9846 0.1228 0.7486
0.1282 0.0055 0.3837
0.2555 0.8718 0.8772
0.6218 0.7445 0.6163
0.7500 0.2500 0.5000
0.9945 0.3782 0.1228
0.5000 0.5000 0.0000
```